Starting from DFT lattice parameters and positions (GGA-PBE), the powder diffraction line list of K2Pr4Cl9O2 was simulated for a wavelength of 1.5418 Å.
Intensities are scaled so that the largest is 100.

Cell: 8.732 11.491 9.561 Å, 90.00 104.77 90.00°
Space group P2_1/m (No. 11)
Inequivalent atoms, fractional coordinates:
K  0.227  0.019  0.433 (multiplicity 4)
Pr  0.293  0.046  0.958 (multiplicity 4)
Pr  0.381  0.750  0.784 (multiplicity 2)
Pr  0.384  0.750  0.161 (multiplicity 2)
Cl  0.118  0.592  0.116 (multiplicity 4)
Cl  0.122  0.583  0.708 (multiplicity 4)
Cl  0.258  0.250  0.760 (multiplicity 2)
Cl  0.266  0.250  0.140 (multiplicity 2)
Cl  0.344  0.750  0.465 (multiplicity 2)
Cl  0.498  0.502  0.284 (multiplicity 4)
O  0.450  0.621  0.987 (multiplicity 4)

Main lines, most intense first (2θ from 5° to 70°):
d_spacing, intensity, hkl
9.245, 100, 0 0 1
8.443, 62, 1 0 0
2.717, 34, 0 2 3
2.837, 30, 2 3 0
3.602, 29, 0 2 2
2.734, 27, 3 1 0
2.773, 23, 1 2 -3
3.579, 21, 1 2 -2
7.218, 21, 1 0 -1
2.873, 15, 0 4 0